Starting from DFT lattice parameters and positions (GGA+U), the X-ray powder pattern of Na3VSi4H2O12 was computed for a wavelength of 1.5418 Å.

Atomic structure:
a b c (Å): 7.601 8.807 9.195
angles (deg): 62.51 83.87 88.31
Atoms (fractional coordinates):
Na1 0.137 0.105 0.174
Na2 0.159 0.652 0.574
Na3 0.352 0.764 0.870
Na4 0.648 0.236 0.130
Na5 0.841 0.348 0.426
Na6 0.863 0.895 0.826
V1 0.000 0.500 0.000
V2 0.500 0.000 0.000
Si1 0.103 0.756 0.168
Si2 0.237 0.410 0.306
Si3 0.277 0.210 0.681
Si4 0.385 0.409 0.844
Si5 0.615 0.591 0.156
Si6 0.723 0.790 0.319
Si7 0.763 0.590 0.694
Si8 0.897 0.244 0.832
H1 0.301 0.025 0.463
H2 0.404 0.936 0.363
H3 0.596 0.064 0.637
H4 0.699 0.975 0.537
O1 0.059 0.715 0.020
O2 0.069 0.164 0.764
O3 0.104 0.342 0.223
O4 0.142 0.570 0.335
O5 0.233 0.533 0.863
O6 0.267 0.887 0.120
O7 0.273 0.251 0.487
O8 0.292 0.932 0.434
O9 0.342 0.390 0.678
O10 0.405 0.222 0.996
O11 0.408 0.055 0.767
O12 0.429 0.477 0.199
O13 0.571 0.523 0.801
O14 0.592 0.945 0.233
O15 0.595 0.778 0.004
O16 0.658 0.610 0.322
O17 0.708 0.068 0.566
O18 0.727 0.749 0.513
O19 0.733 0.113 0.880
O20 0.767 0.467 0.137
O21 0.858 0.430 0.665
O22 0.896 0.658 0.777
O23 0.931 0.836 0.236
O24 0.941 0.285 0.980

Largest 6 diffraction maxima, most intense first, 5 to 70 degrees two-theta:
2θ 10.9, rel. 100
2θ 27.1, rel. 91
2θ 30.6, rel. 56
2θ 30.5, rel. 47
2θ 16.5, rel. 38
2θ 11.3, rel. 35